Mn3NbCl2O6: calculated X-ray diffraction stick pattern (λ = 1.5418 Å (Cu Kα)), based on DFT lattice parameters and positions (PBE+U).
Kinematic intensities with the Lorentz-polarization factor, no thermal factor.

Main lines, low angle first (10 to 90 degrees two-theta):
two_theta  d_spacing  I/Imax
16.85  5.261  850
22.43  3.964  581
25.34  3.515  1000
34.10  2.629  323
35.31  2.542  372
36.33  2.473  721
45.79  1.982  552
52.04  1.757  332

Cell and atoms:
Lattice parameters (Å, degrees): 6.061 6.061 5.408 101.50 101.50 60.88
Sites, in units of the cell vectors:
Mn 0.000 0.000 0.000
Mn 0.000 0.500 0.500
Mn 0.500 0.000 0.500
Nb 0.500 0.500 0.500
Cl 0.195 0.195 0.823
Cl 0.805 0.805 0.177
O 0.193 0.673 0.702
O 0.305 0.305 0.332
O 0.327 0.807 0.298
O 0.673 0.193 0.702
O 0.695 0.695 0.668
O 0.807 0.327 0.298